Record 1
HoSc5Al2: calculated powder diffraction line list (Cu Kα), based on a cell relaxed with GGA-PBE.
No peak broadening, texture or thermal motion is included.

Top 10 peaks for 10° ≤ 2θ ≤ 90°, low angle first:
d (Å), Rel. int.
7.418, 52
5.860, 27
3.709, 37
2.771, 31
2.663, 100
2.534, 57
2.500, 75
2.395, 30
1.741, 29
1.428, 29

Cell and atoms:
a b c (Å): 3.3301 9.5815 11.7200
angles (deg): 90.00 90.00 90.00
Element x y z (fractional)
Ho1 0.0000 0.0000 0.0000
Ho2 0.5000 0.5000 0.5000
Sc1 0.0000 0.2236 0.3643
Sc2 0.0000 0.2236 0.6357
Sc3 0.0000 0.5000 0.0000
Sc4 0.0000 0.7764 0.3643
Sc5 0.0000 0.7764 0.6357
Sc6 0.5000 0.0000 0.5000
Sc7 0.5000 0.2764 0.1357
Sc8 0.5000 0.2764 0.8643
Sc9 0.5000 0.7236 0.1357
Sc10 0.5000 0.7236 0.8643
Al1 0.0000 0.5000 0.2564
Al2 0.0000 0.5000 0.7436
Al3 0.5000 0.0000 0.2436
Al4 0.5000 0.0000 0.7564

Record 2
Ho3ScAl: calculated powder diffraction line list (Cu Kα), based on a cell relaxed with GGA-PBE.
No peak broadening, texture or thermal motion is included.

Top 10 peaks for 10° ≤ 2θ ≤ 90°, low angle first:
d (Å), Rel. int.
4.780, 31
3.899, 30
2.754, 93
2.673, 100
2.562, 55
2.508, 46
2.470, 42
1.792, 37
1.486, 22
1.425, 29

Cell and atoms:
a b c (Å): 8.2844 8.2844 6.7370
angles (deg): 90.00 90.00 144.76
Element x y z (fractional)
Ho1 0.1121 0.8879 0.0001
Ho2 0.1121 0.8879 0.4999
Ho3 0.2972 0.7028 0.7500
Ho4 0.7028 0.2972 0.2500
Ho5 0.8879 0.1121 0.9999
Ho6 0.8879 0.1121 0.5001
Sc1 0.4924 0.5076 0.2500
Sc2 0.5076 0.4924 0.7500
Al1 0.3045 0.6955 0.2500
Al2 0.6955 0.3045 0.7500

Record 3
Ho9Sc4Al11: calculated powder diffraction line list (Cu Kα), based on a cell relaxed with GGA-PBE.
No peak broadening, texture or thermal motion is included.

Top 10 peaks for 10° ≤ 2θ ≤ 90°, low angle first:
d (Å), Rel. int.
5.272, 24
4.095, 39
3.382, 31
3.267, 50
2.607, 100
2.554, 63
2.350, 50
2.049, 27
2.038, 47
1.384, 25

Cell and atoms:
a b c (Å): 13.0383 13.0383 3.2674
angles (deg): 90.00 90.00 102.17
Element x y z (fractional)
Ho1 0.0000 0.0000 0.0000
Ho2 0.1314 0.6454 0.0000
Ho3 0.2887 0.4585 0.0000
Ho4 0.3546 0.8686 0.0000
Ho5 0.4585 0.2887 0.0000
Ho6 0.5415 0.7113 0.0000
Ho7 0.6454 0.1314 0.0000
Ho8 0.7113 0.5415 0.0000
Ho9 0.8686 0.3546 0.0000
Sc1 0.0665 0.2430 0.0000
Sc2 0.2430 0.0665 0.0000
Sc3 0.7570 0.9335 0.0000
Sc4 0.9335 0.7570 0.0000
Al1 0.0730 0.4352 0.5000
Al2 0.1332 0.8668 0.5000
Al3 0.2529 0.2529 0.5000
Al4 0.3394 0.6606 0.5000
Al5 0.4352 0.0730 0.5000
Al6 0.5000 0.5000 0.5000
Al7 0.5648 0.9270 0.5000
Al8 0.6606 0.3394 0.5000
Al9 0.7471 0.7471 0.5000
Al10 0.8668 0.1332 0.5000
Al11 0.9270 0.5648 0.5000

Record 4
HoAl2Se4: calculated powder diffraction line list (Cu Kα), based on a cell relaxed with GGA-PBE.
No peak broadening, texture or thermal motion is included.

Top 10 peaks for 10° ≤ 2θ ≤ 90°, low angle first:
d (Å), Rel. int.
4.937, 50
3.192, 30
3.057, 100
2.753, 20
2.463, 24
2.046, 10
1.950, 46
1.816, 22
1.811, 22
1.232, 10

Cell and atoms:
a b c (Å): 7.7876 7.7876 6.3848
angles (deg): 90.00 90.00 90.00
Element x y z (fractional)
Ho1 0.0000 0.0000 0.0000
Ho2 0.5000 0.5000 0.5000
Al1 0.0000 0.5000 0.2500
Al2 0.0000 0.5000 0.7500
Al3 0.5000 0.0000 0.2500
Al4 0.5000 0.0000 0.7500
Se1 0.1665 0.3330 0.5000
Se2 0.1670 0.6665 0.0000
Se3 0.3335 0.1670 0.0000
Se4 0.3330 0.8335 0.5000
Se5 0.6670 0.1665 0.5000
Se6 0.6665 0.8330 0.0000
Se7 0.8330 0.3335 0.0000
Se8 0.8335 0.6670 0.5000